Record 1
This entry pairs a crystal structure of MgNb2Pb with its computed powder diffractogram. Radiation: CuKα. Structure: a cell relaxed with GGA-PBE.
No peak broadening, texture or thermal motion is included.

Cell and atoms:
Unit cell a=4.828 b=4.828 c=4.828 alpha=60.00 beta=60.00 gamma=60.00
Atoms (fractional coordinates):
Mg 0.000 0.000 0.000
Nb 0.250 0.250 0.250
Nb 0.500 0.500 0.500
Pb 0.750 0.750 0.750

Peak list (9 most intense, 2θ from 5° to 70°, sorted by position)
two_theta  Rel. int.
22.56  22
26.10  22
37.25  100
43.99  12
46.05  7
53.70  17
58.97  5
60.66  9
67.17  35

---

Record 2
This entry pairs a crystal structure of Mg3Nb6S11 with its computed powder diffractogram. Radiation: CuKα. Structure: a cell relaxed with GGA-PBE.
No peak broadening, texture or thermal motion is included.

Cell and atoms:
Unit cell a=7.092 b=7.092 c=8.932 alpha=90.00 beta=90.00 gamma=120.00
Atoms (fractional coordinates):
Mg 0.000 0.000 0.000
Mg 0.333 0.667 0.054
Mg 0.667 0.333 0.946
Nb 0.145 0.290 0.638
Nb 0.145 0.855 0.638
Nb 0.290 0.145 0.362
Nb 0.710 0.855 0.638
Nb 0.855 0.145 0.362
Nb 0.855 0.710 0.362
S 0.000 0.500 0.500
S 0.159 0.318 0.182
S 0.159 0.841 0.182
S 0.318 0.159 0.818
S 0.333 0.667 0.785
S 0.500 0.000 0.500
S 0.500 0.500 0.500
S 0.667 0.333 0.215
S 0.682 0.841 0.182
S 0.841 0.159 0.818
S 0.841 0.682 0.818

Peak list (10 most intense, 2θ from 5° to 70°, sorted by position)
two_theta  Rel. int.
9.90  78
14.42  32
24.65  19
27.05  21
29.08  19
35.47  100
42.28  27
43.96  25
50.54  25
51.54  32

---

Record 3
This entry pairs a crystal structure of MgNbTlTe3 with its computed powder diffractogram. Radiation: CuKα. Structure: a cell relaxed with GGA-PBE.
No peak broadening, texture or thermal motion is included.

Cell and atoms:
Unit cell a=8.088 b=8.088 c=10.998 alpha=90.00 beta=90.00 gamma=150.85
Atoms (fractional coordinates):
Mg 0.046 0.954 0.750
Mg 0.954 0.046 0.250
Nb 0.500 0.500 0.000
Nb 0.500 0.500 0.500
Tl 0.256 0.744 0.250
Tl 0.744 0.256 0.750
Te 0.132 0.868 0.532
Te 0.132 0.868 0.968
Te 0.427 0.573 0.750
Te 0.573 0.427 0.250
Te 0.868 0.132 0.032
Te 0.868 0.132 0.468

Peak list (10 most intense, 2θ from 5° to 70°, sorted by position)
two_theta  Rel. int.
19.73  29
27.81  50
27.98  36
28.98  100
32.29  47
32.57  51
33.38  29
37.21  30
38.18  39
50.28  35

---

Record 4
This entry pairs a crystal structure of Nd2Mg17 with its computed powder diffractogram. Radiation: CuKα. Structure: a cell relaxed with GGA-PBE.
No peak broadening, texture or thermal motion is included.

Cell and atoms:
Unit cell a=7.814 b=7.814 c=7.814 alpha=82.20 beta=82.20 gamma=82.20
Atoms (fractional coordinates):
Nd 0.171 0.171 0.171
Nd 0.829 0.829 0.829
Mg 0.000 0.500 0.500
Mg 0.148 0.148 0.660
Mg 0.148 0.660 0.148
Mg 0.198 0.500 0.802
Mg 0.198 0.802 0.500
Mg 0.340 0.852 0.852
Mg 0.401 0.401 0.401
Mg 0.500 0.000 0.500
Mg 0.500 0.198 0.802
Mg 0.500 0.500 0.000
Mg 0.500 0.802 0.198
Mg 0.599 0.599 0.599
Mg 0.660 0.148 0.148
Mg 0.802 0.198 0.500
Mg 0.802 0.500 0.198
Mg 0.852 0.340 0.852
Mg 0.852 0.852 0.340

Peak list (10 most intense, 2θ from 5° to 70°, sorted by position)
two_theta  Rel. int.
15.30  16
17.26  27
24.63  51
30.13  33
30.92  17
34.99  100
35.29  16
35.65  21
50.30  17
63.15  19

---

Record 5
This entry pairs a crystal structure of Nd3Mg4 with its computed powder diffractogram. Radiation: CuKα. Structure: a cell relaxed with GGA-PBE.
No peak broadening, texture or thermal motion is included.

Cell and atoms:
Unit cell a=9.205 b=9.205 c=5.488 alpha=90.00 beta=90.00 gamma=120.00
Atoms (fractional coordinates):
Nd 0.073 0.263 0.250
Nd 0.191 0.927 0.250
Nd 0.263 0.191 0.750
Nd 0.737 0.809 0.250
Nd 0.809 0.073 0.750
Nd 0.927 0.737 0.750
Mg 0.106 0.495 0.750
Mg 0.333 0.667 0.250
Mg 0.389 0.894 0.750
Mg 0.495 0.389 0.250
Mg 0.505 0.611 0.750
Mg 0.611 0.106 0.250
Mg 0.667 0.333 0.750
Mg 0.894 0.505 0.250

Peak list (10 most intense, 2θ from 5° to 70°, sorted by position)
two_theta  Rel. int.
11.10  59
25.26  26
27.66  39
29.65  24
32.64  27
33.94  100
44.67  16
52.61  18
59.08  20
63.30  20

---

Record 6
This entry pairs a crystal structure of PrNdMg2Pb2 with its computed powder diffractogram. Radiation: CuKα. Structure: a cell relaxed with GGA-PBE.
No peak broadening, texture or thermal motion is included.

Cell and atoms:
Unit cell a=8.783 b=8.783 c=8.783 alpha=149.88 beta=149.88 gamma=43.11
Atoms (fractional coordinates):
Pr 0.000 0.000 0.000
Nd 0.327 0.327 0.000
Mg 0.164 0.664 0.500
Mg 0.664 0.164 0.500
Pb 0.529 0.529 0.000
Pb 0.799 0.799 0.000

Peak list (10 most intense, 2θ from 5° to 70°, sorted by position)
two_theta  Rel. int.
21.76  55
27.64  100
29.77  22
33.74  28
35.45  95
39.49  53
43.50  27
45.54  33
52.31  20
69.02  28

---

Record 7
This entry pairs a crystal structure of Nd4Mg3Pd2 with its computed powder diffractogram. Radiation: CuKα. Structure: a cell relaxed with GGA-PBE.
No peak broadening, texture or thermal motion is included.

Cell and atoms:
Unit cell a=7.659 b=3.864 c=8.486 alpha=90.00 beta=106.60 gamma=90.00
Atoms (fractional coordinates):
Nd 0.065 0.000 0.211
Nd 0.389 0.000 0.684
Nd 0.611 0.000 0.316
Nd 0.935 0.000 0.789
Mg 0.000 0.500 0.500
Mg 0.300 0.500 0.011
Mg 0.700 0.500 0.989
Pd 0.331 0.500 0.382
Pd 0.669 0.500 0.618

Peak list (10 most intense, 2θ from 5° to 70°, sorted by position)
two_theta  Rel. int.
10.88  53
13.75  68
21.86  43
23.58  41
31.93  100
33.18  86
35.09  42
36.32  41
36.52  38
37.68  57

---

Record 8
This entry pairs a crystal structure of PrNd2Mg4Tl2 with its computed powder diffractogram. Radiation: CuKα. Structure: a cell relaxed with GGA-PBE.
No peak broadening, texture or thermal motion is included.

Cell and atoms:
Unit cell a=4.787 b=7.755 c=7.755 alpha=120.16 beta=90.00 gamma=90.00
Atoms (fractional coordinates):
Pr 0.000 0.000 0.000
Nd 0.000 0.428 0.856
Nd 0.000 0.856 0.428
Mg 0.000 0.429 0.429
Mg 0.500 0.186 0.428
Mg 0.500 0.428 0.186
Mg 0.500 0.670 0.670
Tl 0.500 0.095 0.760
Tl 0.500 0.760 0.095

Peak list (10 most intense, 2θ from 5° to 70°, sorted by position)
two_theta  Rel. int.
13.19  62
22.96  24
29.67  100
32.59  73
35.39  24
37.58  22
40.24  19
52.57  16
56.30  13
63.40  15

---

Record 9
This entry pairs a crystal structure of NdMgPt with its computed powder diffractogram. Radiation: CuKα. Structure: a cell relaxed with GGA-PBE.
No peak broadening, texture or thermal motion is included.

Cell and atoms:
Unit cell a=7.478 b=7.478 c=4.174 alpha=90.00 beta=90.00 gamma=120.00
Atoms (fractional coordinates):
Nd 0.000 0.588 0.000
Nd 0.412 0.412 0.000
Nd 0.588 0.000 0.000
Mg 0.000 0.241 0.500
Mg 0.241 0.000 0.500
Mg 0.759 0.759 0.500
Pt 0.000 0.000 0.000
Pt 0.333 0.667 0.500
Pt 0.667 0.333 0.500

Peak list (10 most intense, 2θ from 5° to 70°, sorted by position)
two_theta  Rel. int.
23.80  54
25.39  31
32.14  62
35.07  100
41.84  38
42.83  38
43.36  23
55.71  17
61.83  24
66.84  26

---

Record 10
This entry pairs a crystal structure of Nd2TmMg3Pt3 with its computed powder diffractogram. Radiation: CuKα. Structure: a cell relaxed with GGA-PBE.
No peak broadening, texture or thermal motion is included.

Cell and atoms:
Unit cell a=4.106 b=7.446 c=7.446 alpha=119.79 beta=90.00 gamma=90.00
Atoms (fractional coordinates):
Nd 0.000 0.207 0.793
Nd 0.000 0.793 0.207
Tm 0.000 0.612 0.612
Mg 0.500 0.209 0.449
Mg 0.500 0.449 0.209
Mg 0.500 0.961 0.961
Pt 0.000 0.214 0.214
Pt 0.500 0.543 0.862
Pt 0.500 0.862 0.543

Peak list (10 most intense, 2θ from 5° to 70°, sorted by position)
two_theta  Rel. int.
23.87  53
25.71  29
32.45  66
35.38  100
41.94  26
43.10  31
44.11  23
50.77  14
62.50  17
67.26  17

---

Record 11
This entry pairs a crystal structure of Nd2MgS3 with its computed powder diffractogram. Radiation: CuKα. Structure: a cell relaxed with GGA-PBE.
No peak broadening, texture or thermal motion is included.

Cell and atoms:
Unit cell a=3.918 b=3.918 c=9.896 alpha=90.00 beta=90.00 gamma=120.00
Atoms (fractional coordinates):
Nd 0.333 0.667 0.166
Nd 0.667 0.333 0.834
Mg 0.000 0.000 0.500
S 0.000 0.000 0.000
S 0.333 0.667 0.643
S 0.667 0.333 0.357

Peak list (10 most intense, 2θ from 5° to 70°, sorted by position)
two_theta  Rel. int.
8.94  39
26.26  12
27.03  13
27.79  46
31.98  100
45.37  33
46.34  31
54.47  12
57.42  18
66.87  10

---

Record 12
This entry pairs a crystal structure of NdMg2S3 with its computed powder diffractogram. Radiation: CuKα. Structure: a cell relaxed with GGA-PBE.
No peak broadening, texture or thermal motion is included.

Cell and atoms:
Unit cell a=3.768 b=3.768 c=9.652 alpha=90.00 beta=90.00 gamma=120.00
Atoms (fractional coordinates):
Nd 0.000 0.000 0.000
Mg 0.333 0.667 0.655
Mg 0.667 0.333 0.345
S 0.000 0.000 0.500
S 0.333 0.667 0.196
S 0.667 0.333 0.804

Peak list (10 most intense, 2θ from 5° to 70°, sorted by position)
two_theta  Rel. int.
9.16  64
18.38  15
27.33  22
28.88  37
33.14  100
39.33  18
46.82  31
48.31  28
57.27  10
59.83  17